No. 1
Starting from a cell relaxed with GGA-PBE, the X-ray powder pattern of Dy2PbAu was computed for Cu Kα (λ = 1.5418 Å).

Structure:
```
4
Lattice="3.3059 0.0000 0.0000 0.0000 2.9705 6.2444 0.0000 -2.9705 6.2444" Properties=species:S:1:pos:R:3 pbc="T T T"
Dy 0.0000 0.0000 0.0000
Dy 0.0000 0.0000 3.5460
Pb 0.0000 0.0000 6.8504
Au 0.0000 0.0000 9.6881
```

Main lines, by angle (2θ from 5° to 70°):
| 2θ/deg | d [Å] | Rel. int. |
| --- | --- | --- |
| 26.97 | 3.306 | 100 |
| 28.59 | 3.122 | 71 |
| 30.08 | 2.971 | 76 |
| 39.71 | 2.270 | 60 |
| 40.84 | 2.210 | 67 |
| 50.61 | 1.804 | 60 |

***

No. 2
Starting from a cell relaxed with GGA-PBE, the X-ray powder pattern of ThZn4Pb2 was computed for Cu Kα (λ = 1.5418 Å).

Structure:
```
7
Lattice="3.5697 -5.5469 0.0000 3.5697 5.5469 0.0000 -0.0083 0.0000 4.0386" Properties=species:S:1:pos:R:3 pbc="T T T"
Th 0.0000 0.0000 0.0000
Zn 2.2920 0.0000 2.0194
Zn 3.5697 1.3007 0.0000
Zn 3.5697 -1.3007 0.0000
Zn 4.8391 0.0000 2.0192
Pb 1.7807 2.7734 2.0193
Pb 1.7807 -2.7734 2.0193
```

Main lines, by angle (2θ from 5° to 70°):
| 2θ/deg | d [Å] | Rel. int. |
| --- | --- | --- |
| 27.32 | 3.265 | 56 |
| 29.76 | 3.002 | 56 |
| 32.28 | 2.773 | 30 |
| 33.50 | 2.675 | 100 |
| 35.23 | 2.548 | 32 |
| 47.21 | 1.925 | 36 |

***

No. 3
Starting from a cell relaxed with GGA-PBE, the X-ray powder pattern of Ta12Co17 was computed for Cu Kα (λ = 1.5418 Å).

Structure:
```
29
Lattice="-4.6194 4.6194 4.6194 4.6194 -4.6194 4.6194 4.6194 4.6194 -4.6194" Properties=species:S:1:pos:R:3 pbc="T T T"
Ta 5.3071 1.3282 -1.3282
Ta 5.3071 -1.3282 1.3282
Ta 3.2912 3.2912 -0.6877
Ta 3.2912 -0.6877 3.2912
Ta 3.9317 1.3282 1.3282
Ta 1.3282 5.3071 -1.3282
Ta 1.3282 -1.3282 5.3071
Ta 1.3282 3.9317 1.3282
Ta 1.3282 1.3282 3.9317
Ta -0.6877 3.2912 3.2912
Ta -1.3282 5.3071 1.3282
Ta -1.3282 1.3282 5.3071
Co 0.0000 0.0000 0.0000
Co 3.2591 3.2591 -3.2591
Co 2.5674 0.8321 -0.8321
Co 2.5674 -0.8321 0.8321
Co 3.2591 -3.2591 3.2591
Co 6.6714 0.8321 0.8321
Co 0.8321 2.5674 -0.8321
Co 0.8321 -0.8321 2.5674
Co 1.3603 1.3603 1.3603
Co -0.8321 2.5674 0.8321
Co -0.8321 0.8321 2.5674
Co 3.7873 3.7873 2.0520
Co 3.7873 2.0520 3.7873
Co -3.2591 3.2591 3.2591
Co 0.8321 6.6714 0.8321
Co 0.8321 0.8321 6.6714
Co 2.0520 3.7873 3.7873
```

Main lines, by angle (2θ from 5° to 70°):
| 2θ/deg | d [Å] | Rel. int. |
| --- | --- | --- |
| 33.60 | 2.667 | 39 |
| 36.39 | 2.469 | 35 |
| 39.00 | 2.310 | 43 |
| 41.47 | 2.178 | 100 |
| 46.08 | 1.970 | 35 |
| 50.36 | 1.812 | 34 |

***

No. 4
Starting from a cell relaxed with GGA-PBE, the X-ray powder pattern of KZr3Se5 was computed for Cu Kα (λ = 1.5418 Å).

Structure:
```
9
Lattice="6.2177 0.0000 0.0000 -3.1089 5.3847 0.0000 0.0000 0.0000 7.6903" Properties=species:S:1:pos:R:3 pbc="T T T"
K 0.0000 0.0000 0.0000
Zr -1.5544 2.6923 3.8451
Zr 3.1089 0.0000 3.8451
Zr 1.5544 2.6923 3.8451
Se 0.0000 0.0000 3.8451
Se 0.0000 3.5898 1.8259
Se 0.0000 3.5898 5.8644
Se 3.1089 1.7949 1.8259
Se 3.1089 1.7949 5.8644
```

Main lines, by angle (2θ from 5° to 70°):
| 2θ/deg | d [Å] | Rel. int. |
| --- | --- | --- |
| 11.51 | 7.690 | 100 |
| 28.52 | 3.129 | 28 |
| 28.72 | 3.109 | 49 |
| 35.32 | 2.541 | 51 |
| 37.19 | 2.418 | 33 |
| 40.92 | 2.205 | 94 |

***

No. 5
Starting from a cell relaxed with GGA-PBE, the X-ray powder pattern of ZnPtCl6 was computed for Cu Kα (λ = 1.5418 Å).

Structure:
```
8
Lattice="2.9982 1.7310 5.4701 -2.9982 1.7310 5.4701 0.0000 -3.4620 5.4701" Properties=species:S:1:pos:R:3 pbc="T T T"
Zn 0.0000 0.0000 0.0000
Pt 0.0000 0.0000 8.2051
Cl -1.9301 -0.0301 6.8554
Cl -0.9390 -1.6866 9.5548
Cl 0.9912 -1.6565 6.8554
Cl -0.9912 1.6565 9.5548
Cl 0.9389 1.6866 6.8554
Cl 1.9301 0.0301 9.5548
```

Main lines, by angle (2θ from 5° to 70°):
| 2θ/deg | d [Å] | Rel. int. |
| --- | --- | --- |
| 17.92 | 4.951 | 31 |
| 20.24 | 4.388 | 100 |
| 27.71 | 3.219 | 46 |
| 34.10 | 2.629 | 37 |
| 44.86 | 2.021 | 48 |
| 47.65 | 1.909 | 31 |

***

No. 6
Starting from a cell relaxed with GGA-PBE, the X-ray powder pattern of K2CdSbHS4 was computed for Cu Kα (λ = 1.5418 Å).

Structure:
```
18
Lattice="7.2881 0.0000 0.0000 0.3526 7.5911 0.0000 0.1720 1.9032 8.6094" Properties=species:S:1:pos:R:3 pbc="T T T"
K 1.5477 1.2854 0.5129
K 2.3282 7.7622 4.9615
K 5.4845 1.7321 3.6480
K 6.2650 8.2089 8.0965
Cd 2.1382 5.0869 1.7822
Cd 5.6745 4.4074 6.8273
Sb 2.1371 4.0363 5.3376
Sb 5.6756 5.4580 3.2719
H 3.2032 6.4047 7.6085
H 4.6095 3.0896 1.0009
S 0.2059 2.7226 6.0900
S 1.8954 6.2834 7.9530
S 2.4726 2.9552 3.1402
S 3.7469 2.6987 6.5962
S 4.0658 6.7956 2.0133
S 5.3401 6.5391 5.4692
S 5.9174 3.2109 0.6564
S 7.6068 6.7717 2.5195
```

Main lines, by angle (2θ from 5° to 70°):
| 2θ/deg | d [Å] | Rel. int. |
| --- | --- | --- |
| 11.94 | 7.412 | 88 |
| 13.98 | 6.334 | 86 |
| 23.95 | 3.715 | 50 |
| 24.12 | 3.690 | 48 |
| 24.45 | 3.640 | 100 |
| 33.65 | 2.664 | 88 |